Al6SiTc2: computed XRD peak list (Cu Ka), based on a structure optimized by DFT (GGA-PBE).

Peak list (10 most intense, 2θ from 10° to 80°, sorted by position)
| 2θ (°) | I (rel.) |
| --- | --- |
| 15.57 | 61 |
| 24.15 | 51 |
| 30.03 | 18 |
| 38.04 | 23 |
| 39.75 | 95 |
| 40.54 | 100 |
| 44.46 | 40 |
| 46.65 | 35 |
| 48.90 | 17 |
| 66.41 | 23 |

Atomic structure:
```
data_Al6SiTc2
_cell_length_a 12.2311
_cell_length_b 3.8944
_cell_length_c 6.0041
_cell_angle_alpha 90.00
_cell_angle_beta 111.46
_cell_angle_gamma 90.00
_symmetry_space_group_name_H-M 'C 1 2/m 1'
_symmetry_Int_Tables_number 12
loop_
_symmetry_equiv_pos_as_xyz
'x,y,z'
'-x,-y,-z'
'-x,y,-z'
'x,-y,z'
'x+1/2,y+1/2,z'
'-x+1/2,-y+1/2,-z'
'-x+1/2,y+1/2,-z'
'x+1/2,-y+1/2,z'
loop_
_atom_site_label
_atom_site_fract_x
_atom_site_fract_y
_atom_site_fract_z
Al1 0.1027 0.0000 0.1546
Al2 0.1733 0.5000 0.5024
Al3 0.2246 0.0000 0.8442
Si1 0.0000 0.0000 0.5000
Tc1 0.0489 0.5000 0.7790
```